[1]
Diffraction record for LiNbP4O12. The powder XRD pattern is computed, not measured: it uses a PBE-relaxed structure and Cu Ka.

Atomic structure:
```
data_LiNbP4O12
_space_group_name_H-M_alt 'C 1 2/m 1'
_space_group_IT_number 12
_space_group_name_Hall '-C 2y'
_cell_length_a 17.215
_cell_length_b 12.093
_cell_length_c 5.419
_cell_angle_alpha 90.00
_cell_angle_beta 101.03
_cell_angle_gamma 90.00
loop_
_atom_site_label
_atom_site_fract_x
_atom_site_fract_y
_atom_site_fract_z
Li1 0.062 0.000 0.108
Nb1 0.250 0.250 0.500
P1 0.074 0.206 0.678
P2 0.180 0.381 0.963
O1 0.000 0.267 0.500
O2 0.047 0.113 0.819
O3 0.103 0.307 0.869
O4 0.135 0.185 0.515
O5 0.143 0.500 0.880
O6 0.199 0.377 0.247
O7 0.246 0.356 0.827
```

The 12 most intense peaks (2θ from 10° to 90°), in order of rising 2θ:
d (Å)	2theta	I/Imax	(hkl)
8.449	10.47	65	2 0 0
6.047	14.65	100	0 2 0
5.106	17.37	35	3 1 0
4.157	21.38	16	2 0 1
3.994	22.26	52	0 2 1
3.667	24.27	31	4 0 -1
3.426	26.01	18	2 2 1
3.401	26.21	14	3 1 1
3.136	28.46	21	4 2 -1
2.661	33.68	12	3 3 1
2.628	34.11	22	0 4 1
2.553	35.15	14	6 2 0

---

[2]
Diffraction record for PrRe2. The powder XRD pattern is computed, not measured: it uses a PBE-relaxed structure and Cu Ka.

Atomic structure:
```
data_PrRe2
_space_group_name_H-M_alt 'P 63/m m c'
_space_group_IT_number 194
_space_group_name_Hall '-P 6c 2c'
_cell_length_a 5.5503
_cell_length_b 5.5503
_cell_length_c 9.0000
_cell_angle_alpha 90.00
_cell_angle_beta 90.00
_cell_angle_gamma 120.00
loop_
_atom_site_label
_atom_site_fract_x
_atom_site_fract_y
_atom_site_fract_z
Pr1 0.3333 0.6667 0.0613
Re1 0.0000 0.0000 0.0000
Re2 0.1700 0.3400 0.7500
```

The 12 most intense peaks (2θ from 10° to 90°), in order of rising 2θ:
d (Å)	2theta	I/Imax	(hkl)
2.775	32.26	20	1 1 0
2.545	35.27	58	1 0 3
2.362	38.10	100	1 1 2
2.322	38.78	95	2 0 1
2.250	40.07	25	0 0 4
2.120	42.65	29	2 0 2
1.554	59.48	23	2 1 3
1.509	61.43	25	3 0 2
1.441	64.70	33	2 0 5
1.388	67.50	30	2 2 0
1.272	74.58	13	2 0 6
1.181	81.50	19	2 2 4

---

[3]
Diffraction record for Dy2NiSn6. The powder XRD pattern is computed, not measured: it uses a PBE-relaxed structure and Cu Ka.

Atomic structure:
```
data_Dy2NiSn6
_space_group_name_H-M_alt 'C m m m'
_space_group_IT_number 65
_space_group_name_Hall '-C 2 2'
_cell_length_a 4.402
_cell_length_b 22.428
_cell_length_c 4.451
_cell_angle_alpha 90.00
_cell_angle_beta 90.00
_cell_angle_gamma 90.00
loop_
_atom_site_label
_atom_site_fract_x
_atom_site_fract_y
_atom_site_fract_z
Dy1 0.000 0.178 0.000
Ni1 0.000 0.500 0.500
Sn1 0.000 0.070 0.500
Sn2 0.000 0.295 0.500
Sn3 0.000 0.431 0.000
```

The 12 most intense peaks (2θ from 10° to 90°), in order of rising 2θ:
d (Å)	2theta	I/Imax	(hkl)
2.887	30.97	60	1 3 1
2.804	31.92	31	0 8 0
2.567	34.96	100	1 5 1
2.239	40.28	12	1 7 1
2.226	40.53	30	0 0 2
2.201	41.01	29	2 0 0
1.743	52.49	18	0 8 2
1.731	52.89	16	2 8 0
1.565	59.02	20	2 0 2
1.366	68.69	15	2 8 2
1.342	70.14	14	1 5 3
1.331	70.80	13	3 5 1

---

[4]
Diffraction record for HoInNi. The powder XRD pattern is computed, not measured: it uses a PBE-relaxed structure and Cu Ka.

Atomic structure:
```
data_HoInNi
_space_group_name_H-M_alt 'P -6 2 m'
_space_group_IT_number 189
_space_group_name_Hall 'P -6 -2'
_cell_length_a 7.4569
_cell_length_b 7.4569
_cell_length_c 3.7561
_cell_angle_alpha 90.00
_cell_angle_beta 90.00
_cell_angle_gamma 120.00
loop_
_atom_site_label
_atom_site_fract_x
_atom_site_fract_y
_atom_site_fract_z
Ho1 0.0000 0.5903 0.0000
In1 0.0000 0.2559 0.5000
Ni1 0.0000 0.0000 0.0000
Ni2 0.3333 0.6667 0.5000
```

The 12 most intense peaks (2θ from 10° to 90°), in order of rising 2θ:
d (Å)	2theta	I/Imax	(hkl)
2.646	33.88	100	1 1 1
2.449	36.70	71	2 0 1
2.441	36.82	52	2 1 0
2.153	41.97	24	3 0 0
1.878	48.47	19	0 0 2
1.791	50.99	15	3 1 0
1.616	56.97	26	3 1 1
1.488	62.39	22	2 1 2
1.415	66.02	12	3 0 2
1.378	68.02	24	3 2 1
1.296	72.99	10	3 1 2
1.221	78.31	13	5 0 1

---

[5]
Diffraction record for AlGaRu2. The powder XRD pattern is computed, not measured: it uses a PBE-relaxed structure and Cu Ka.

Atomic structure:
```
data_AlGaRu2
_space_group_name_H-M_alt 'F m -3 m'
_space_group_IT_number 225
_space_group_name_Hall '-F 4 2 3'
_cell_length_a 6.036
_cell_length_b 6.036
_cell_length_c 6.036
_cell_angle_alpha 90.00
_cell_angle_beta 90.00
_cell_angle_gamma 90.00
loop_
_atom_site_label
_atom_site_fract_x
_atom_site_fract_y
_atom_site_fract_z
Al1 0.000 0.000 0.000
Ga1 0.000 0.000 0.500
Ru1 0.250 0.250 0.250
```

The 10 most intense peaks (2θ from 10° to 90°), in order of rising 2θ:
d (Å)	2theta	I/Imax	(hkl)
3.485	25.56	6	1 1 1
3.018	29.60	16	2 0 0
2.134	42.35	100	2 2 0
1.820	50.12	3	3 1 1
1.743	52.52	4	2 2 2
1.509	61.44	16	4 0 0
1.385	67.66	1	3 3 1
1.350	69.66	5	4 2 0
1.232	77.46	32	4 2 2
1.162	83.15	1	5 1 1